Starting from a DFT-relaxed cell (PBE, the Materials Project), the X-ray diffraction stick pattern of MgAlAg was calculated for Cu Kα (λ = 1.5418 Å).
Kinematic intensities with the Lorentz-polarization factor, no thermal factor.

Cell and atoms:
Cell: 8.736 5.544 9.256 Å, 90.00 90.00 90.00°
Space group Amm2 (No. 38)
Unique sites:
Mg 0.185 0.000 0.000 [4 per cell]
Mg 0.314 0.000 0.335 [4 per cell]
Al 0.000 0.000 0.506 [2 per cell]
Al 0.500 0.000 0.839 [2 per cell]
Al 0.500 0.237 0.085 [4 per cell]
Ag 0.000 0.246 0.262 [4 per cell]
Ag 0.262 0.000 0.658 [4 per cell]

Main lines, by angle (2θ = 15–90°):
hkl 0 1 1, 18.66 deg, d 4.756, rel. 53; hkl 0 0 2, 19.18 deg, d 4.628, rel. 55; hkl 1 0 2, 21.73 deg, d 4.090, rel. 32; hkl 2 1 1, 27.73 deg, d 3.217, rel. 31; hkl 2 2 0, 38.46 deg, d 2.340, rel. 61; hkl 2 1 3, 39.27 deg, d 2.294, rel. 100; hkl 2 2 2, 43.32 deg, d 2.089, rel. 39; hkl 2 0 4, 44.30 deg, d 2.045, rel. 27



Starting from a DFT-relaxed cell (PBE, the Materials Project), the X-ray diffraction stick pattern of Mg17Al11Ag was calculated for Cu Kα (λ = 1.5418 Å).
Kinematic intensities with the Lorentz-polarization factor, no thermal factor.

Cell and atoms:
Cell: 10.545 14.792 9.143 Å, 90.00 125.20 90.00°
Space group Cm (No. 8)
Unique sites:
Mg 0.000 0.000 0.000 [2 per cell]
Mg 0.002 0.000 0.657 [2 per cell]
Mg 0.055 0.343 0.051 [4 per cell]
Mg 0.156 0.500 0.311 [2 per cell]
Mg 0.159 0.158 0.257 [4 per cell]
Mg 0.174 0.172 0.656 [4 per cell]
Mg 0.183 0.500 0.941 [2 per cell]
Mg 0.302 0.301 0.972 [4 per cell]
Mg 0.398 0.000 0.367 [2 per cell]
Mg 0.459 0.142 0.656 [4 per cell]
Mg 0.486 0.199 0.340 [4 per cell]
Al 0.004 0.183 0.842 [4 per cell]
Al 0.188 0.000 0.475 [2 per cell]
Al 0.224 0.409 0.655 [4 per cell]
Al 0.275 0.092 0.022 [4 per cell]
Al 0.318 0.317 0.471 [4 per cell]
Al 0.409 0.407 0.289 [4 per cell]
Ag 0.369 0.000 0.834 [2 per cell]

Main lines, by angle (2θ = 15–90°):
hkl 2 0 0, 20.63 deg, d 4.305, rel. 24; hkl 4 0 -3, 36.14 deg, d 2.485, rel. 53; hkl 4 2 -2, 36.18 deg, d 2.483, rel. 100; hkl 1 5 -2, 36.33 deg, d 2.473, rel. 40; hkl 3 1 1, 40.06 deg, d 2.251, rel. 39; hkl 3 5 -2, 40.33 deg, d 2.236, rel. 37; hkl 1 1 -4, 43.75 deg, d 2.069, rel. 22; hkl 1 5 4, 65.01 deg, d 1.435, rel. 23